Entry 1:
Starting from the PBE geometry in Alexandria, the X-ray diffraction stick pattern of BaU2SbO8 was simulated for Cu Kα.

Largest 12 diffraction maxima, by intensity, 2θ = 15–90°:
two_theta, I (rel.)
30.04, 100
23.18, 59
24.24, 49
45.24, 43
46.43, 34
33.79, 31
16.71, 22
62.45, 12
58.07, 11
58.21, 11
56.58, 10
57.09, 10

Crystal structure
Cell: 5.303 7.184 5.318 Å, 90.00 92.53 90.00°
Positions (direct):
Ba: 0.000 0.000 0.000
U: 0.500 0.255 0.500
U: 0.500 0.745 0.500
Sb: 0.000 0.500 0.000
O: 0.224 0.280 0.226
O: 0.224 0.720 0.226
O: 0.320 0.500 0.680
O: 0.340 0.000 0.662
O: 0.660 0.000 0.338
O: 0.680 0.500 0.320
O: 0.776 0.280 0.774
O: 0.776 0.720 0.774

---

Entry 2:
Starting from the PBE geometry in Alexandria, the X-ray diffraction stick pattern of TcNi4Ir2 was simulated for Cu Kα.

Largest 12 diffraction maxima, by intensity, 2θ = 15–90°:
two_theta, I (rel.)
42.21, 100
48.98, 65
42.10, 50
43.08, 47
50.12, 30
17.15, 28
17.96, 25
71.99, 19
73.39, 19
87.02, 13
86.35, 12
86.79, 12

Crystal structure
Cell: 5.741 5.741 6.440 Å, 111.60 111.60 26.66°
Positions (direct):
Tc: 0.000 0.000 0.000
Ni: 0.147 0.147 0.420
Ni: 0.283 0.283 0.855
Ni: 0.717 0.717 0.145
Ni: 0.853 0.853 0.580
Ir: 0.428 0.428 0.288
Ir: 0.572 0.572 0.712